No. 1
This entry pairs a crystal structure of BaPrGaS4 with its calculated powder diffraction line list. Radiation: Cu Kα X-rays. Structure: a cell relaxed with GGA-PBE.
No peak broadening, texture or thermal motion is included.

Atomic structure:
a = 6.695 Å, b = 6.751 Å, c = 8.563 Å
α = 90.00°, β = 107.61°, γ = 90.00°
Space group P2_1/m (No. 11)
One atom of each set of equivalent atoms:
Ba 0.238 0.250 0.434 (multiplicity 2)
Pr 0.275 0.250 0.946 (multiplicity 2)
Ga 0.270 0.750 0.182 (multiplicity 2)
S 0.068 0.750 0.917 (multiplicity 2)
S 0.075 0.750 0.357 (multiplicity 2)
S 0.497 0.507 0.772 (multiplicity 4)

Largest 6 diffraction maxima, in order of rising 2θ, 2θ = 15–90°:
- (1 1 0), 2θ = 19.14°, intensity 100
- (0 2 0), 2θ = 26.41°, intensity 100
- (2 0 -2), 2θ = 29.90°, intensity 68
- (1 1 2), 2θ = 32.25°, intensity 95
- (2 1 -2), 2θ = 32.75°, intensity 92
- (2 2 0), 2θ = 38.84°, intensity 78

=====

No. 2
This entry pairs a crystal structure of BaGaPt3 with its calculated powder diffraction line list. Radiation: Cu Kα X-rays. Structure: a cell relaxed with GGA-PBE.
No peak broadening, texture or thermal motion is included.

Atomic structure:
a = 11.800 Å, b = 6.387 Å, c = 5.507 Å
α = 90.00°, β = 97.09°, γ = 90.00°
Space group C2/m (No. 12)
One atom of each set of equivalent atoms:
Ba 0.101 0.000 0.277 (multiplicity 4)
Ga 0.000 0.500 0.000 (multiplicity 2)
Ga 0.000 0.500 0.500 (multiplicity 2)
Pt 0.155 0.288 0.796 (multiplicity 8)
Pt 0.184 0.500 0.289 (multiplicity 4)

Largest 6 diffraction maxima, in order of rising 2θ, 2θ = 15–90°:
- (0 0 2), 2θ = 32.78°, intensity 45
- (2 2 -1), 2θ = 35.10°, intensity 100
- (2 2 1), 2θ = 36.89°, intensity 57
- (2 0 2), 2θ = 38.02°, intensity 34
- (5 1 0), 2θ = 41.05°, intensity 25
- (4 0 -2), 2θ = 42.38°, intensity 31

=====

No. 3
This entry pairs a crystal structure of BaGa5Pt4 with its calculated powder diffraction line list. Radiation: Cu Kα X-rays. Structure: a cell relaxed with GGA-PBE.
No peak broadening, texture or thermal motion is included.

Atomic structure:
a = 8.333 Å, b = 8.333 Å, c = 5.899 Å
α = 90.00°, β = 90.00°, γ = 90.00°
Space group P4/nmm (No. 129, origin choice 2)
One atom of each set of equivalent atoms:
Ba 0.250 0.750 0.000 (multiplicity 2)
Ga 0.010 0.010 0.227 (multiplicity 8)
Ga 0.250 0.250 0.734 (multiplicity 2)
Pt 0.009 0.750 0.499 (multiplicity 8)

Largest 6 diffraction maxima, in order of rising 2θ, 2θ = 15–90°:
- (0 0 1), 2θ = 15.02°, intensity 72
- (2 2 1), 2θ = 34.01°, intensity 100
- (4 0 0), 2θ = 43.42°, intensity 96
- (0 0 3), 2θ = 46.20°, intensity 25
- (6 2 1), 2θ = 73.67°, intensity 21
- (4 0 4), 2θ = 79.68°, intensity 30

=====

No. 4
This entry pairs a crystal structure of BaGa4Pt2 with its calculated powder diffraction line list. Radiation: Cu Kα X-rays. Structure: a cell relaxed with GGA-PBE.
No peak broadening, texture or thermal motion is included.

Atomic structure:
a = 4.508 Å, b = 6.928 Å, c = 8.843 Å
α = 90.00°, β = 90.00°, γ = 90.00°
Space group Immm (No. 71)
One atom of each set of equivalent atoms:
Ba 0.000 0.000 0.000 (multiplicity 2)
Ga 0.000 0.199 0.352 (multiplicity 8)
Pt 0.000 0.500 0.171 (multiplicity 4)

Largest 6 diffraction maxima, in order of rising 2θ, 2θ = 15–90°:
- (1 1 2), 2θ = 31.14°, intensity 61
- (0 1 3), 2θ = 33.03°, intensity 95
- (1 2 1), 2θ = 34.18°, intensity 100
- (2 0 0), 2θ = 40.00°, intensity 51
- (1 2 3), 2θ = 45.12°, intensity 53
- (0 4 0), 2θ = 52.82°, intensity 63